Entry 1:
Computed powder diffractogram of K2AgF4 for Cu Kα (λ = 1.5418 Å), from a crystal structure in the Materials Project, relaxed with GGA-PBE.

Most intense lines, 10 to 90 degrees two-theta, in order of rising 2θ:
2theta  I/Imax
16.06  100
27.44  19
27.80  77
28.92  70
29.10  60
37.12  20
39.45  26
41.11  25
51.47  24
52.15  17

Cell and atoms:
abc: 3.8341 10.4425 6.5082
angles: 90.00 92.80 90.00
Sites, in units of the cell vectors:
K 0.0215 0.1828 0.4158
K 0.0215 0.3172 0.9158
K 0.9785 0.6828 0.0842
K 0.9785 0.8172 0.5842
Ag 0.5000 0.0000 0.0000
Ag 0.5000 0.5000 0.5000
F 0.0972 0.0525 0.7751
F 0.0972 0.4475 0.2751
F 0.4828 0.6894 0.3762
F 0.4828 0.8106 0.8762
F 0.5172 0.1894 0.1238
F 0.5172 0.3106 0.6238
F 0.9028 0.5525 0.7249
F 0.9028 0.9475 0.2249

---

Entry 2:
Computed powder diffractogram of KAgF3 for Cu Kα (λ = 1.5418 Å), from a crystal structure in the Materials Project, relaxed with GGA-PBE.

Most intense lines, 10 to 90 degrees two-theta, in order of rising 2θ:
2theta  I/Imax
19.97  46
20.68  20
27.76  24
28.92  100
40.57  31
42.07  16
45.96  11
49.82  15
51.32  20
59.88  15

Cell and atoms:
abc: 6.4264 8.5905 6.1605
angles: 90.00 90.00 90.00
Sites, in units of the cell vectors:
K 0.0526 0.2500 0.0103
K 0.4474 0.7500 0.5103
K 0.5526 0.2500 0.4897
K 0.9474 0.7500 0.9897
Ag 0.0000 0.0000 0.5000
Ag 0.0000 0.5000 0.5000
Ag 0.5000 0.0000 0.0000
Ag 0.5000 0.5000 0.0000
F 0.0199 0.7500 0.4290
F 0.1905 0.5354 0.7744
F 0.1905 0.9646 0.7744
F 0.3095 0.0354 0.2744
F 0.3095 0.4646 0.2744
F 0.4801 0.2500 0.9290
F 0.5199 0.7500 0.0710
F 0.6905 0.5354 0.7256
F 0.6905 0.9646 0.7256
F 0.8095 0.0354 0.2256
F 0.8095 0.4646 0.2256
F 0.9801 0.2500 0.5710

---

Entry 3:
Computed powder diffractogram of KAgF4 for Cu Kα (λ = 1.5418 Å), from a crystal structure in the Materials Project, relaxed with GGA-PBE.

Most intense lines, 10 to 90 degrees two-theta, in order of rising 2θ:
2theta  I/Imax
15.08  22
20.75  29
25.75  100
29.50  19
42.22  15
42.90  35
50.11  27
51.30  12
52.92  10
68.54  12

Cell and atoms:
abc: 7.2695 7.2695 7.2695
angles: 130.78 130.78 72.17
Sites, in units of the cell vectors:
K 0.2500 0.2500 0.0000
K 0.7500 0.7500 0.0000
Ag 0.0000 0.5000 0.5000
Ag 0.5000 0.0000 0.5000
F 0.0481 0.5481 0.8287
F 0.2194 0.0481 0.5000
F 0.2806 0.7806 0.8287
F 0.4519 0.2806 0.5000
F 0.5481 0.7194 0.5000
F 0.7194 0.2194 0.1713
F 0.7806 0.9519 0.5000
F 0.9519 0.4519 0.1713